For VIrPbO6, DFT lattice parameters and positions (GGA+U) gives the calculated powder diffractogram in this record (Cu Kα).

Largest 10 diffraction maxima, by angle, 2θ from 10° to 90°:
hkl 0 1 1, 2θ 15.3, intensity 54; hkl 0 2 0, 2θ 25.3, intensity 29; hkl 0 1 3, 2θ 29.2, intensity 56; hkl 2 1 1, 2θ 29.7, intensity 100; hkl 2 0 2, 2θ 30.9, intensity 53; hkl 2 2 2, 2θ 40.4, intensity 28; hkl 0 3 3, 2θ 47.1, intensity 20; hkl 2 3 1, 2θ 47.5, intensity 20; hkl 4 0 0, 2θ 52.0, intensity 19; hkl 2 1 5, 2θ 53.5, intensity 23

Structural model:
```
data_VIrPbO6
_chemical_formula_sum 'V4 Ir4 Pb4 O24'
_symmetry_space_group_name_H-M 'I m m a'
_symmetry_Int_Tables_number 74
_symmetry_space_group_name_Hall '-I 2b 2'
_cell_length_a 7.0269
_cell_length_b 7.0357
_cell_length_c 10.2086
_cell_angle_alpha 90.00
_cell_angle_beta 90.00
_cell_angle_gamma 90.00
loop_
_atom_site_label
_atom_site_type_symbol
_atom_site_fract_x
_atom_site_fract_y
_atom_site_fract_z
V1 V 0.0000 0.0000 0.0000
Ir1 Ir 0.2500 0.2500 0.2500
Pb1 Pb 0.0000 0.2500 0.5641
O1 O 0.0000 0.2500 0.3338
O2 O 0.0000 0.2500 0.9482
O3 O 0.1996 0.0523 0.1213
```